This entry pairs a crystal structure of TiCuMoO6 with its theoretical powder XRD pattern. Radiation: a wavelength of 1.5418 Å. Structure: a structure optimized by DFT (PBE+U).
Lines closer than 0.1° are merged.

Structure:
Lattice parameters (Å, degrees): 5.0720 5.0720 8.9194 90.00 90.00 120.00
Space group P-31c (No. 163)
Symmetry-distinct sites (fractional):
Ti: 0.3333 0.6667 0.2500 x2
Cu: 0.0000 0.0000 0.0000 x2
Mo: 0.3333 0.6667 0.7500 x2
O: 0.0035 0.3509 0.6320 x12

Top 10 peaks for 15 to 90 degrees two-theta, low angle first:
- (0 0 2), 19.9°, I = 15
- (1 0 1), 22.6°, I = 17
- (1 0 2), 28.5°, I = 100
- (1 1 0), 35.4°, I = 37
- (1 1 2), 40.9°, I = 21
- (2 0 2), 46.1°, I = 25
- (1 1 4), 54.8°, I = 48
- (2 1 2), 59.4°, I = 23
- (3 0 0), 63.5°, I = 19
- (4 -2 4), 88.8°, I = 11